# ZnH6Se2O8
Theoretical X-ray powder pattern, copper Kα. Input: a crystal structure in the Materials Project, relaxed with PBE.
No peak broadening, texture or thermal motion is included.

Crystal structure
abc: 7.2364 6.9940 8.5455
angles: 90.00 118.86 90.00
Positions (direct):
Zn  0.0000  0.0000  0.0000
Zn  0.0000  0.5000  0.5000
H  0.1115  0.2122  0.3762
H  0.1115  0.2878  0.8762
H  0.2053  0.1618  0.5833
H  0.2053  0.3382  0.0833
H  0.4995  0.0224  0.2373
H  0.4995  0.4776  0.7373
H  0.5005  0.5224  0.2627
H  0.5005  0.9776  0.7627
H  0.7947  0.6618  0.9167
H  0.7947  0.8382  0.4167
H  0.8885  0.7122  0.1238
H  0.8885  0.7878  0.6238
Se  0.3246  0.7290  0.3753
Se  0.3246  0.7710  0.8753
Se  0.6754  0.2290  0.1247
Se  0.6754  0.2710  0.6247
O  0.0780  0.6665  0.3339
O  0.0780  0.8335  0.8339
O  0.1917  0.2338  0.0001
O  0.1917  0.2662  0.5001
O  0.2808  0.5769  0.7404
O  0.2808  0.9231  0.2404
O  0.3511  0.5393  0.2389
O  0.3511  0.9607  0.7389
O  0.6489  0.0393  0.2611
O  0.6489  0.4607  0.7611
O  0.7192  0.0769  0.7596
O  0.7192  0.4231  0.2596
O  0.8083  0.7338  0.4999
O  0.8083  0.7662  0.9999
O  0.9220  0.1665  0.1661
O  0.9220  0.3335  0.6661

The 12 most intense peaks (2θ = 15–90°), most intense first:
- 2θ 33.19, I 100, hkl 1 0 2
- 2θ 18.90, I 92, hkl 1 1 0
- 2θ 27.02, I 64, hkl 0 1 2
- 2θ 17.35, I 53, hkl 0 1 1
- 2θ 24.55, I 32, hkl 1 1 -2
- 2θ 26.68, I 28, hkl 2 0 -2
- 2θ 30.98, I 28, hkl 2 1 0
- 2θ 38.33, I 20, hkl 2 2 0
- 2θ 54.04, I 19, hkl 3 2 -4
- 2θ 39.68, I 19, hkl 3 1 -2
- 2θ 25.75, I 18, hkl 1 1 1
- 2θ 52.93, I 17, hkl 2 2 2